This entry pairs a crystal structure of Na2Fe3P3O12 with its calculated XRD peak list. Radiation: Cu Kα X-rays. Structure: a structure optimized by DFT (GGA+U).
Intensities are scaled so that the largest is 100.

Largest 6 diffraction maxima, in order of rising 2θ, 15 to 90 degrees two-theta:
2θ/deg  I (rel.)
28.19  47
30.63  36
32.78  100
32.92  52
34.72  77
42.14  46

```
Na2Fe3P3O12
1.0
5.9653 -6.3187 0.0000
5.9653 6.3187 0.0000
-2.7056 0.0000 6.0291
Na Fe P O
4 6 6 24
Direct
0.0000 0.0000 0.0000
0.0000 0.0000 0.5000
0.4843 0.5157 0.7500
0.5157 0.4843 0.2500
0.1179 0.4436 0.3753
0.2305 0.7695 0.2500
0.4436 0.1179 0.8753
0.5564 0.8821 0.1247
0.7695 0.2305 0.7500
0.8821 0.5564 0.6247
0.1578 0.3736 0.8827
0.2104 0.7896 0.7500
0.3736 0.1578 0.3827
0.6264 0.8422 0.6173
0.7896 0.2104 0.2500
0.8422 0.6264 0.1173
0.0281 0.2277 0.8326
0.0329 0.7625 0.7472
0.1044 0.4539 0.6941
0.1760 0.5032 0.1116
0.2277 0.0281 0.3326
0.2375 0.9671 0.7528
0.2399 0.6762 0.5383
0.3238 0.7601 0.9617
0.3265 0.3295 0.3947
0.3295 0.3265 0.8947
0.4539 0.1044 0.1941
0.4968 0.8240 0.3884
0.5032 0.1760 0.6116
0.5461 0.8956 0.8059
0.6705 0.6735 0.1053
0.6735 0.6705 0.6053
0.6762 0.2399 0.0383
0.7601 0.3238 0.4617
0.7625 0.0329 0.2472
0.7723 0.9719 0.6674
0.8240 0.4968 0.8884
0.8956 0.5461 0.3059
0.9671 0.2375 0.2528
0.9719 0.7723 0.1674
```